This entry pairs a crystal structure of HoMgAl2Ag5 with its computed powder X-ray diffraction pattern. Radiation: Cu Kα (weighted mean of Kα1 and Kα2). Structure: DFT lattice parameters and positions (GGA-PBE).

Largest 12 diffraction maxima, in order of rising 2θ, 2θ = 15–90°:
| d_spacing | 2θ (°) | intensity | index |
| --- | --- | --- | --- |
| 3.118 | 28.6 | 8 | 1 1 1 |
| 2.584 | 34.7 | 100 | 1 1 2 |
| 2.394 | 37.6 | 51 | 2 0 0 |
| 2.294 | 39.3 | 11 | 2 0 1 |
| 2.095 | 43.2 | 24 | 1 1 3 |
| 2.000 | 45.4 | 10 | 0 0 4 |
| 1.693 | 54.2 | 17 | 2 2 0 |
| 1.535 | 60.3 | 16 | 2 0 4 |
| 1.416 | 66.0 | 29 | 3 1 2 |
| 1.317 | 71.7 | 10 | 3 1 3 |
| 1.292 | 73.3 | 9 | 2 2 4 |
| 1.240 | 76.8 | 8 | 1 1 6 |

Structural model:
a = 4.789 Å, b = 4.789 Å, c = 7.999 Å
α = 90.00°, β = 90.00°, γ = 90.00°
Space group P4/mmm (No. 123)
Asymmetric unit:
Ho (0.000, 0.000, 0.000) (multiplicity 1)
Mg (0.000, 0.000, 0.500) (multiplicity 1)
Al (0.500, 0.500, 0.344) (multiplicity 2)
Ag (0.000, 0.500, 0.228) (multiplicity 4)
Ag (0.500, 0.500, 0.000) (multiplicity 1)